Entry 1:
The following is a calculated X-ray powder pattern of Er2B4Os3. It was derived from a structure optimized by DFT (PBE), using Cu Kα (weighted mean of Kα1 and Kα2).

Structural model:
a b c (Å): 6.6290 5.6015 5.3601
angles (deg): 74.38 54.47 51.15
Sites, in units of the cell vectors:
Er  0.1572  0.1572  0.8428
Er  0.8428  0.8428  0.1572
B  0.1184  0.5497  0.4503
B  0.4503  0.8816  0.1184
B  0.5497  0.1184  0.8816
B  0.8816  0.4503  0.5497
Os  0.0000  0.0000  0.5000
Os  0.5000  0.5000  0.0000
Os  0.5000  0.5000  0.5000

Most intense lines, 10 to 90 degrees two-theta, in order of rising 2θ:
- 2θ 18.38, rel. 61
- 2θ 26.95, rel. 27
- 2θ 33.48, rel. 86
- 2θ 37.31, rel. 100
- 2θ 39.67, rel. 44
- 2θ 41.90, rel. 36
- 2θ 44.04, rel. 59
- 2θ 57.30, rel. 34
- 2θ 70.39, rel. 45
- 2θ 71.91, rel. 15


Entry 2:
The following is a calculated X-ray powder pattern of ErB4Os4. It was derived from a structure optimized by DFT (PBE), using Cu Kα (weighted mean of Kα1 and Kα2).

Structural model:
a b c (Å): 7.5332 7.5332 4.0234
angles (deg): 90.00 90.00 90.00
Sites, in units of the cell vectors:
Er  0.2500  0.2500  0.2500
Er  0.7500  0.7500  0.7500
B  0.0313  0.9136  0.1359
B  0.0864  0.5313  0.6359
B  0.4136  0.9687  0.6359
B  0.4687  0.5864  0.1359
B  0.5313  0.4136  0.8641
B  0.5864  0.0313  0.3641
B  0.9136  0.4687  0.3641
B  0.9687  0.0864  0.8641
Os  0.1038  0.6414  0.1333
Os  0.1414  0.8962  0.6333
Os  0.3586  0.6038  0.6333
Os  0.3962  0.8586  0.1333
Os  0.6038  0.1414  0.8667
Os  0.6414  0.3962  0.3667
Os  0.8586  0.1038  0.3667
Os  0.8962  0.3586  0.8667

Most intense lines, 10 to 90 degrees two-theta, in order of rising 2θ:
- 2θ 16.64, rel. 26
- 2θ 27.79, rel. 23
- 2θ 34.73, rel. 100
- 2θ 37.76, rel. 63
- 2θ 40.62, rel. 34
- 2θ 44.18, rel. 18
- 2θ 46.74, rel. 29
- 2θ 49.13, rel. 23
- 2θ 58.82, rel. 16
- 2θ 69.50, rel. 17


Entry 3:
The following is a calculated X-ray powder pattern of ErB2Pd8. It was derived from a structure optimized by DFT (PBE), using Cu Kα (weighted mean of Kα1 and Kα2).

Structural model:
a b c (Å): 6.4714 6.4714 4.2131
angles (deg): 97.36 97.36 109.98
Sites, in units of the cell vectors:
Er  0.0000  0.0000  0.0000
B  0.3286  0.6714  0.5000
B  0.6714  0.3286  0.5000
Pd  0.0576  0.3298  0.5834
Pd  0.2640  0.7360  0.0000
Pd  0.3298  0.0576  0.5834
Pd  0.3904  0.3904  0.2077
Pd  0.6096  0.6096  0.7923
Pd  0.6702  0.9424  0.4166
Pd  0.7360  0.2640  0.0000
Pd  0.9424  0.6702  0.4166

Most intense lines, 10 to 90 degrees two-theta, in order of rising 2θ:
- 2θ 33.95, rel. 79
- 2θ 36.57, rel. 100
- 2θ 39.80, rel. 65
- 2θ 40.51, rel. 95
- 2θ 42.27, rel. 68
- 2θ 43.90, rel. 47
- 2θ 45.52, rel. 45
- 2θ 67.25, rel. 22
- 2θ 74.89, rel. 20
- 2θ 77.72, rel. 41


Entry 4:
The following is a calculated X-ray powder pattern of ErB2Pd7. It was derived from a structure optimized by DFT (PBE), using Cu Kα (weighted mean of Kα1 and Kα2).

Structural model:
a b c (Å): 6.4416 6.4416 4.1771
angles (deg): 90.00 90.00 112.03
Sites, in units of the cell vectors:
Er  0.0000  0.0000  0.0000
B  0.2902  0.7098  0.5000
B  0.7098  0.2902  0.5000
Pd  0.0555  0.3240  0.5000
Pd  0.3228  0.6772  0.0000
Pd  0.3240  0.0555  0.5000
Pd  0.5000  0.5000  0.5000
Pd  0.6760  0.9445  0.5000
Pd  0.6772  0.3228  0.0000
Pd  0.9445  0.6760  0.5000

Most intense lines, 10 to 90 degrees two-theta, in order of rising 2θ:
- 2θ 32.84, rel. 55
- 2θ 35.39, rel. 100
- 2θ 40.07, rel. 17
- 2θ 42.13, rel. 24
- 2θ 43.32, rel. 34
- 2θ 44.34, rel. 28
- 2θ 45.57, rel. 24
- 2θ 62.02, rel. 15
- 2θ 64.69, rel. 17
- 2θ 74.62, rel. 24